# 1
Theoretical PXRD pattern of Na3WNO3 for Cu Kα, 1.54184 Å, from the GGA+U geometry in the Materials Project.
Lines closer than 0.1° are merged.

The 6 most intense peaks (10° ≤ 2θ ≤ 90°), low angle first:
(hkl)	d_spacing	I_rel
1 1 0	4.825	85
1 0 1	4.510	100
0 1 1	4.244	64
2 1 0	3.197	34
0 0 2	2.846	38
2 1 1	2.787	71

Cell and atoms:
Lattice parameters (Å, degrees): 7.393 6.368 5.692 90.00 90.00 90.00
Space group Pmn2_1 (No. 31)
Symmetry-distinct sites (fractional):
Na 0.000 0.157 0.000 (multiplicity 2)
Na 0.246 0.330 0.503 (multiplicity 4)
W 0.000 0.828 0.485 (multiplicity 2)
N 0.000 0.824 0.171 (multiplicity 2)
O 0.000 0.109 0.584 (multiplicity 2)
O 0.209 0.688 0.585 (multiplicity 4)

---

# 2
Theoretical PXRD pattern of NiP3NO9 for Cu Kα, 1.54184 Å, from the GGA+U geometry in the Materials Project.
Lines closer than 0.1° are merged.

The 6 most intense peaks (10° ≤ 2θ ≤ 90°), low angle first:
(hkl)	d_spacing	I_rel
1 0 1	5.663	100
1 1 0	5.079	58
2 1 1	3.033	22
3 0 0	2.932	14
2 0 2	2.832	44
3 1 2	2.037	15

Cell and atoms:
Lattice parameters (Å, degrees): 10.1582 10.1582 7.4002 90.00 90.00 120.00
Space group R32 (No. 155, hexagonal axes)
Symmetry-distinct sites (fractional):
Ni 0.0000 0.0000 0.0000 (multiplicity 3)
P 0.0000 0.5715 0.5000 (multiplicity 9)
N 0.0000 0.0000 0.5000 (multiplicity 3)
O 0.0000 0.6529 0.0000 (multiplicity 9)
O 0.0877 0.1898 0.8444 (multiplicity 18)

---

# 3
Theoretical PXRD pattern of Sr2NiN6O12 for Cu Kα, 1.54184 Å, from the GGA+U geometry in the Materials Project.
Lines closer than 0.1° are merged.

The 6 most intense peaks (10° ≤ 2θ ≤ 90°), low angle first:
(hkl)	d_spacing	I_rel
1 1 1	5.831	100
2 2 0	3.570	59
4 0 0	2.525	37
4 2 0	2.258	26
4 2 2	2.061	55
6 2 0	1.597	25

Cell and atoms:
Lattice parameters (Å, degrees): 10.099 10.099 10.099 90.00 90.00 90.00
Space group Fm-3m (No. 225)
Symmetry-distinct sites (fractional):
Sr 0.250 0.250 0.250 (multiplicity 8)
Ni 0.000 0.000 0.000 (multiplicity 4)
N 0.000 0.000 0.189 (multiplicity 24)
O 0.000 0.171 0.171 (multiplicity 48)

---

# 4
Theoretical PXRD pattern of VPN2O5 for Cu Kα, 1.54184 Å, from the GGA+U geometry in the Materials Project.
Lines closer than 0.1° are merged.

The 6 most intense peaks (10° ≤ 2θ ≤ 90°), low angle first:
(hkl)	d_spacing	I_rel
0 0 1	8.810	58
1 0 0	7.126	100
0 0 2	4.405	41
1 1 0	4.206	62
1 1 2	3.025	37
2 1 0	2.940	40

Cell and atoms:
Lattice parameters (Å, degrees): 7.127 5.210 8.812 90.00 91.09 90.00
Space group P2_1 (No. 4)
Symmetry-distinct sites (fractional):
V 0.120 0.000 0.325 (multiplicity 2)
P 0.137 0.017 0.709 (multiplicity 2)
N 0.329 0.526 0.990 (multiplicity 2)
N 0.341 0.644 0.433 (multiplicity 2)
O 0.030 0.698 0.240 (multiplicity 2)
O 0.061 0.734 0.726 (multiplicity 2)
O 0.137 0.060 0.529 (multiplicity 2)
O 0.309 0.089 0.245 (multiplicity 2)
O 0.319 0.062 0.786 (multiplicity 2)